[1]
Structure and theoretical XRD peak list of Mn5NbP6O24 (a crystal structure in the Materials Project, relaxed with PBE+U; copper Kα).

Principal peaks in the range 2θ from 10° to 90°, by angle:
- 2θ = 20.4°, 4.359 Å, I = 100
- 2θ = 23.9°, 3.718 Å, I = 92
- 2θ = 25.0°, 3.559 Å, I = 12
- 2θ = 29.0°, 3.083 Å, I = 13
- 2θ = 31.6°, 2.828 Å, I = 15
- 2θ = 32.5°, 2.759 Å, I = 74
- 2θ = 35.7°, 2.516 Å, I = 44
- 2θ = 46.6°, 1.951 Å, I = 28
- 2θ = 49.0°, 1.859 Å, I = 30
- 2θ = 55.8°, 1.648 Å, I = 39
- 2θ = 62.0°, 1.496 Å, I = 27
- 2θ = 64.1°, 1.453 Å, I = 14

Atomic structure:
a b c (Å): 8.726 8.726 8.726
angles (deg): 59.93 59.93 59.93
Atoms (fractional coordinates):
Mn 0.000 0.000 0.000
Mn 0.142 0.142 0.142
Mn 0.502 0.502 0.502
Mn 0.646 0.646 0.646
Mn 0.791 0.791 0.791
Nb 0.291 0.291 0.291
P 0.101 0.399 0.696
P 0.190 0.891 0.607
P 0.399 0.696 0.101
P 0.607 0.190 0.891
P 0.696 0.101 0.399
P 0.891 0.607 0.190
O 0.036 0.839 0.634
O 0.058 0.411 0.212
O 0.087 0.232 0.884
O 0.154 0.333 0.531
O 0.157 0.952 0.761
O 0.212 0.058 0.411
O 0.232 0.884 0.087
O 0.258 0.456 0.658
O 0.333 0.531 0.154
O 0.387 0.734 0.586
O 0.411 0.212 0.058
O 0.456 0.658 0.258
O 0.531 0.154 0.333
O 0.555 0.701 0.910
O 0.586 0.387 0.734
O 0.634 0.036 0.839
O 0.658 0.258 0.456
O 0.701 0.910 0.555
O 0.734 0.586 0.387
O 0.761 0.157 0.952
O 0.839 0.634 0.036
O 0.884 0.087 0.232
O 0.910 0.555 0.701
O 0.952 0.761 0.157

[2]
Structure and theoretical XRD peak list of Sr2DyCrO6 (a crystal structure in the Materials Project, relaxed with PBE+U; copper Kα).

Principal peaks in the range 2θ from 10° to 90°, by angle:
- 2θ = 18.8°, 4.722 Å, I = 14
- 2θ = 21.7°, 4.089 Å, I = 5
- 2θ = 30.9°, 2.891 Å, I = 100
- 2θ = 36.4°, 2.466 Å, I = 12
- 2θ = 44.3°, 2.045 Å, I = 33
- 2θ = 48.5°, 1.876 Å, I = 7
- 2θ = 55.0°, 1.669 Å, I = 39
- 2θ = 58.7°, 1.574 Å, I = 4
- 2θ = 64.5°, 1.446 Å, I = 20
- 2θ = 73.2°, 1.293 Å, I = 18
- 2θ = 81.6°, 1.180 Å, I = 6
- 2θ = 89.7°, 1.093 Å, I = 21

Atomic structure:
a b c (Å): 5.783 5.783 5.783
angles (deg): 60.00 60.00 60.00
Atoms (fractional coordinates):
Sr 0.250 0.250 0.250
Sr 0.750 0.750 0.750
Dy 0.000 0.000 0.000
Cr 0.500 0.500 0.500
O 0.269 0.269 0.731
O 0.269 0.731 0.269
O 0.269 0.731 0.731
O 0.731 0.269 0.269
O 0.731 0.269 0.731
O 0.731 0.731 0.269

[3]
Structure and theoretical XRD peak list of YCr3O6 (a crystal structure in the Materials Project, relaxed with PBE+U; copper Kα).

Principal peaks in the range 2θ from 10° to 90°, by angle:
- 2θ = 17.5°, 5.057 Å, I = 26
- 2θ = 20.3°, 4.379 Å, I = 8
- 2θ = 24.2°, 3.677 Å, I = 12
- 2θ = 28.8°, 3.096 Å, I = 37
- 2θ = 34.0°, 2.640 Å, I = 100
- 2θ = 35.5°, 2.529 Å, I = 9
- 2θ = 41.2°, 2.189 Å, I = 18
- 2θ = 51.1°, 1.788 Å, I = 9
- 2θ = 54.4°, 1.685 Å, I = 40
- 2θ = 59.7°, 1.548 Å, I = 45
- 2θ = 70.5°, 1.336 Å, I = 9
- 2θ = 85.1°, 1.141 Å, I = 12

Atomic structure:
a b c (Å): 6.197 6.197 15.145
angles (deg): 90.00 90.00 120.00
Atoms (fractional coordinates):
Y 0.000 0.000 0.129
Y 0.000 0.000 0.871
Y 0.333 0.667 0.448
Y 0.667 0.333 0.552
Cr 0.000 0.000 0.500
Cr 0.000 0.500 0.000
Cr 0.172 0.344 0.669
Cr 0.172 0.828 0.669
Cr 0.333 0.667 0.829
Cr 0.344 0.172 0.331
Cr 0.500 0.000 0.000
Cr 0.500 0.500 0.000
Cr 0.656 0.828 0.669
Cr 0.667 0.333 0.171
Cr 0.828 0.172 0.331
Cr 0.828 0.656 0.331
O 0.000 0.000 0.270
O 0.000 0.000 0.730
O 0.053 0.526 0.740
O 0.141 0.282 0.414
O 0.141 0.859 0.414
O 0.189 0.378 0.921
O 0.189 0.811 0.921
O 0.282 0.141 0.586
O 0.333 0.667 0.061
O 0.333 0.667 0.593
O 0.378 0.189 0.079
O 0.474 0.526 0.740
O 0.474 0.947 0.740
O 0.526 0.053 0.260
O 0.526 0.474 0.260
O 0.622 0.811 0.921
O 0.667 0.333 0.407
O 0.667 0.333 0.939
O 0.718 0.859 0.414
O 0.811 0.189 0.079
O 0.811 0.622 0.079
O 0.859 0.141 0.586
O 0.859 0.718 0.586
O 0.947 0.474 0.260

[4]
Structure and theoretical XRD peak list of Li2Mn3FeO8 (a crystal structure in the Materials Project, relaxed with PBE+U; copper Kα).

Principal peaks in the range 2θ from 10° to 90°, by angle:
- 2θ = 18.3°, 4.851 Å, I = 100
- 2θ = 35.0°, 2.563 Å, I = 17
- 2θ = 35.6°, 2.519 Å, I = 30
- 2θ = 37.1°, 2.426 Å, I = 11
- 2θ = 42.4°, 2.134 Å, I = 19
- 2θ = 43.4°, 2.084 Å, I = 36
- 2θ = 47.0°, 1.934 Å, I = 7
- 2θ = 56.1°, 1.640 Å, I = 6
- 2θ = 57.4°, 1.606 Å, I = 12
- 2θ = 62.3°, 1.491 Å, I = 22
- 2θ = 63.1°, 1.474 Å, I = 11
- 2θ = 78.9°, 1.213 Å, I = 8

Atomic structure:
a b c (Å): 8.338 8.338 8.537
angles (deg): 90.00 90.00 90.00
Atoms (fractional coordinates):
Li 0.002 0.248 0.380
Li 0.248 0.002 0.620
Li 0.252 0.502 0.130
Li 0.498 0.748 0.370
Li 0.502 0.252 0.870
Li 0.748 0.498 0.630
Li 0.752 0.998 0.120
Li 0.998 0.752 0.880
Mn 0.123 0.377 0.748
Mn 0.123 0.623 0.498
Mn 0.128 0.128 0.000
Mn 0.372 0.628 0.750
Mn 0.377 0.123 0.252
Mn 0.377 0.877 0.002
Mn 0.623 0.123 0.502
Mn 0.623 0.877 0.752
Mn 0.628 0.372 0.250
Mn 0.872 0.872 0.500
Mn 0.877 0.377 0.998
Mn 0.877 0.623 0.248
Fe 0.124 0.876 0.250
Fe 0.376 0.376 0.500
Fe 0.624 0.624 0.000
Fe 0.876 0.124 0.750
O 0.109 0.628 0.271
O 0.109 0.856 0.489
O 0.114 0.150 0.745
O 0.114 0.366 0.980
O 0.128 0.391 0.521
O 0.134 0.614 0.730
O 0.144 0.891 0.011
O 0.150 0.114 0.255
O 0.350 0.614 0.495
O 0.356 0.391 0.739
O 0.366 0.114 0.020
O 0.372 0.891 0.229
O 0.386 0.650 0.005
O 0.386 0.866 0.770
O 0.391 0.128 0.479
O 0.391 0.356 0.261
O 0.609 0.644 0.761
O 0.609 0.872 0.979
O 0.614 0.134 0.270
O 0.614 0.350 0.505
O 0.628 0.109 0.729
O 0.634 0.886 0.520
O 0.644 0.609 0.239
O 0.650 0.386 0.995
O 0.850 0.886 0.755
O 0.856 0.109 0.511
O 0.866 0.386 0.230
O 0.872 0.609 0.021
O 0.886 0.634 0.480
O 0.886 0.850 0.245
O 0.891 0.144 0.989
O 0.891 0.372 0.771

[5]
Structure and theoretical XRD peak list of VCrO3 (a crystal structure in the Materials Project, relaxed with PBE+U; copper Kα).

Principal peaks in the range 2θ from 10° to 90°, by angle:
- 2θ = 23.8°, 3.739 Å, I = 56
- 2θ = 32.7°, 2.742 Å, I = 100
- 2θ = 35.1°, 2.560 Å, I = 29
- 2θ = 35.1°, 2.554 Å, I = 56
- 2θ = 40.3°, 2.239 Å, I = 19
- 2θ = 48.7°, 1.871 Å, I = 28
- 2θ = 48.8°, 1.867 Å, I = 14
- 2θ = 53.2°, 1.721 Å, I = 67
- 2θ = 61.5°, 1.508 Å, I = 23
- 2θ = 62.9°, 1.477 Å, I = 27
- 2θ = 63.1°, 1.474 Å, I = 14
- 2θ = 70.7°, 1.332 Å, I = 16

Atomic structure:
a b c (Å): 5.109 5.510 8.860
angles (deg): 74.41 89.86 62.42
Atoms (fractional coordinates):
V 0.000 0.000 0.000
V 0.052 0.893 0.348
V 0.251 0.499 0.749
V 0.554 0.894 0.853
Cr 0.301 0.399 0.100
Cr 0.502 0.995 0.499
Cr 0.755 0.490 0.252
Cr 0.800 0.398 0.598
O 0.000 0.692 0.202
O 0.002 0.694 0.899
O 0.052 0.195 0.452
O 0.054 0.198 0.148
O 0.098 0.198 0.799
O 0.458 0.693 0.052
O 0.499 0.697 0.700
O 0.502 0.694 0.399
O 0.553 0.194 0.649
O 0.554 0.198 0.953
O 0.598 0.196 0.299
O 0.950 0.697 0.548